Record 1
Structure and theoretical XRD peak list of CePmAu3 (a GGA-PBE-relaxed structure; Cu Kα X-rays).
Lines closer than 0.1° are merged.

Principal peaks in the range 15 to 90 degrees two-theta, by angle:
24.4°, d = 3.652 Å, intensity 23; 32.3°, d = 2.770 Å, intensity 100; 32.8°, d = 2.734 Å, intensity 35; 36.9°, d = 2.439 Å, intensity 72; 38.4°, d = 2.344 Å, intensity 44; 42.3°, d = 2.139 Å, intensity 36; 49.5°, d = 1.841 Å, intensity 21; 63.3°, d = 1.470 Å, intensity 41

Crystal structure
abc: 14.3980 14.3980 4.6879
angles: 90.00 90.00 165.31
Fractional coordinates of all 10 atoms:
Ce  0.0721  0.9279  0.7500
Ce  0.9279  0.0721  0.2500
Pm  0.2053  0.7947  0.2500
Pm  0.7947  0.2053  0.7500
Au  0.3182  0.6818  0.2500
Au  0.3793  0.6207  0.7500
Au  0.4753  0.5247  0.7500
Au  0.5247  0.4753  0.2500
Au  0.6207  0.3793  0.2500
Au  0.6818  0.3182  0.7500



Record 2
Structure and theoretical XRD peak list of CePmAu2 (a GGA-PBE-relaxed structure; Cu Kα X-rays).
Lines closer than 0.1° are merged.

Principal peaks in the range 15 to 90 degrees two-theta, by angle:
33.2°, d = 2.702 Å, intensity 22; 34.5°, d = 2.600 Å, intensity 100; 35.5°, d = 2.527 Å, intensity 25; 37.8°, d = 2.383 Å, intensity 10; 49.4°, d = 1.846 Å, intensity 14; 60.1°, d = 1.540 Å, intensity 10; 62.6°, d = 1.483 Å, intensity 10; 63.1°, d = 1.473 Å, intensity 18

Crystal structure
abc: 5.0539 7.3269 5.4041
angles: 90.00 90.00 90.00
Fractional coordinates of all 8 atoms:
Ce  0.2500  0.2500  0.2224
Ce  0.7500  0.7500  0.7776
Pm  0.2500  0.7500  0.2262
Pm  0.7500  0.2500  0.7738
Au  0.2500  0.0009  0.6968
Au  0.2500  0.4991  0.6968
Au  0.7500  0.5009  0.3032
Au  0.7500  0.9991  0.3032



Record 3
Structure and theoretical XRD peak list of Ce2PmSi2Au2 (a GGA-PBE-relaxed structure; Cu Kα X-rays).
Lines closer than 0.1° are merged.

Principal peaks in the range 15 to 90 degrees two-theta, by angle:
26.9°, d = 3.315 Å, intensity 49; 28.6°, d = 3.124 Å, intensity 77; 32.7°, d = 2.743 Å, intensity 98; 35.0°, d = 2.565 Å, intensity 40; 41.6°, d = 2.172 Å, intensity 100; 42.8°, d = 2.111 Å, intensity 25; 53.8°, d = 1.703 Å, intensity 24; 65.9°, d = 1.417 Å, intensity 40

Crystal structure
abc: 9.6788 9.6788 9.6788
angles: 25.94 25.94 25.94
Fractional coordinates of all 7 atoms:
Ce  0.1416  0.1416  0.1416
Ce  0.8584  0.8584  0.8584
Pm  0.0000  0.0000  0.0000
Si  0.2574  0.2574  0.2574
Si  0.7426  0.7426  0.7426
Au  0.4037  0.4037  0.4037
Au  0.5963  0.5963  0.5963



Record 4
Structure and theoretical XRD peak list of Ce2PrAu8 (a GGA-PBE-relaxed structure; Cu Kα X-rays).
Lines closer than 0.1° are merged.

Principal peaks in the range 15 to 90 degrees two-theta, by angle:
33.7°, d = 2.658 Å, intensity 89; 34.1°, d = 2.626 Å, intensity 46; 34.4°, d = 2.607 Å, intensity 94; 36.1°, d = 2.486 Å, intensity 39; 37.5°, d = 2.397 Å, intensity 95; 37.7°, d = 2.385 Å, intensity 36; 38.3°, d = 2.352 Å, intensity 100; 67.6°, d = 1.385 Å, intensity 41

Crystal structure
abc: 8.6976 8.6976 8.6976
angles: 144.85 138.77 55.27
Fractional coordinates of all 11 atoms:
Ce  0.1844  0.1844  0.0000
Ce  0.8156  0.8156  0.0000
Pr  0.5000  0.0000  0.5000
Au  0.0000  0.2503  0.2503
Au  0.0000  0.7497  0.7497
Au  0.1394  0.3668  0.7726
Au  0.2978  0.7978  0.5000
Au  0.4057  0.6332  0.7726
Au  0.5943  0.3668  0.2274
Au  0.7022  0.2022  0.5000
Au  0.8606  0.6332  0.2274



Record 5
Structure and theoretical XRD peak list of CePr2Au3 (a GGA-PBE-relaxed structure; Cu Kα X-rays).
Lines closer than 0.1° are merged.

Principal peaks in the range 15 to 90 degrees two-theta, by angle:
33.9°, d = 2.647 Å, intensity 51; 34.0°, d = 2.634 Å, intensity 100; 48.7°, d = 1.872 Å, intensity 18; 49.1°, d = 1.854 Å, intensity 9; 60.7°, d = 1.526 Å, intensity 38; 61.0°, d = 1.518 Å, intensity 19; 71.7°, d = 1.317 Å, intensity 12; 81.3°, d = 1.184 Å, intensity 8

Crystal structure
abc: 5.2924 15.8835 3.7079
angles: 90.00 90.00 90.00
Fractional coordinates of all 12 atoms:
Ce  0.2500  0.2500  0.0021
Ce  0.7500  0.7500  0.9979
Pr  0.2500  0.5829  0.9977
Pr  0.2500  0.9171  0.9977
Pr  0.7500  0.0829  0.0023
Pr  0.7500  0.4171  0.0023
Au  0.2500  0.0866  0.5018
Au  0.2500  0.4134  0.5018
Au  0.2500  0.7500  0.4973
Au  0.7500  0.2500  0.5027
Au  0.7500  0.5866  0.4982
Au  0.7500  0.9134  0.4982



Record 6
Structure and theoretical XRD peak list of CePr2Au4 (a GGA-PBE-relaxed structure; Cu Kα X-rays).
Lines closer than 0.1° are merged.

Principal peaks in the range 15 to 90 degrees two-theta, by angle:
23.3°, d = 3.811 Å, intensity 16; 26.2°, d = 3.402 Å, intensity 16; 27.1°, d = 3.294 Å, intensity 16; 33.2°, d = 2.695 Å, intensity 74; 36.1°, d = 2.490 Å, intensity 100; 47.7°, d = 1.905 Å, intensity 27; 61.3°, d = 1.513 Å, intensity 43; 79.5°, d = 1.205 Å, intensity 12

Crystal structure
abc: 5.3893 5.3893 13.1589
angles: 90.00 90.00 90.00
Fractional coordinates of all 14 atoms:
Ce  0.0000  0.0000  0.0000
Ce  0.5000  0.5000  0.5000
Pr  0.0000  0.0000  0.2805
Pr  0.0000  0.0000  0.7195
Pr  0.5000  0.5000  0.2195
Pr  0.5000  0.5000  0.7805
Au  0.0000  0.5000  0.1156
Au  0.0000  0.5000  0.3844
Au  0.0000  0.5000  0.6156
Au  0.0000  0.5000  0.8844
Au  0.5000  0.0000  0.1156
Au  0.5000  0.0000  0.3844
Au  0.5000  0.0000  0.6156
Au  0.5000  0.0000  0.8844